Calculated powder X-ray diffraction pattern
Compound: Ba2AcMoO6
Radiation: a wavelength of 1.5418 Å
Structure: a crystal structure in Alexandria, relaxed with GGA+U

Main lines, sorted by position (2θ = 5–70°):
2θ/deg	I_rel
28.48	52
28.73	100
40.78	14
41.04	26
50.50	11
50.66	11
50.77	9
50.95	27
59.53	12
67.09	9

Atomic structure:
```
data_Ba2AcMoO6
_space_group_name_H-M_alt 'P 1 21/c 1'
_space_group_IT_number 14
_cell_length_a 6.2296
_cell_length_b 6.2115
_cell_length_c 10.7581
_cell_angle_alpha 90.00
_cell_angle_beta 124.65
_cell_angle_gamma 90.00
loop_
_space_group_symop_operation_xyz
'x,y,z'
'-x,-y,-z'
'-x,y+1/2,-z+1/2'
'x,-y+1/2,z+1/2'
loop_
_atom_site_label
_atom_site_type_symbol
_atom_site_fract_x
_atom_site_fract_y
_atom_site_fract_z
Ba1 Ba 0.2425 0.0259 0.2468
Ac1 Ac 0.5000 0.0000 0.0000
Mo1 Mo 0.0000 0.0000 0.5000
O1 O 0.1546 0.2377 0.9602
O2 O 0.2116 0.6898 0.9644
O3 O 0.2981 0.0167 0.7264
```